Calculated X-ray powder pattern
Compound: AgS
Radiation: Cu Ka
Structure: a DFT-relaxed cell (GGA-PBE, Alexandria)

Lattice parameters (Å, degrees): 6.6171 6.8837 3.6699 90.00 90.00 90.00
Fractional coordinates of all 8 atoms:
Ag1 0.0000 0.0000 0.0000
Ag2 0.0000 0.5000 0.0000
Ag3 0.5000 0.0000 0.5000
Ag4 0.5000 0.5000 0.5000
S1 0.1713 0.1656 0.5000
S2 0.3287 0.6656 0.0000
S3 0.6713 0.3344 0.0000
S4 0.8287 0.8344 0.5000

The 8 most intense peaks (2θ from 15° to 90°), sorted by position:
index  2θ (°)  I/Imax
0 2 0  25.89  46
2 0 0  26.95  39
1 0 1  27.80  77
2 2 0  37.71  54
1 2 1  38.35  100
3 0 1  48.13  36
4 0 0  55.47  27
1 4 1  61.10  24